Structure and simulated XRD peak list of K2UH6C4SeO15 (a cell relaxed with PBE; Cu Kα, 1.54184 Å).
Neutral-atom scattering factors, no anomalous dispersion.

Main lines, in order of rising 2θ (10 to 80 degrees two-theta):
| d [Å] | I (rel.) |
| --- | --- |
| 7.637 | 39 |
| 7.011 | 21 |
| 6.347 | 46 |
| 6.294 | 100 |
| 5.870 | 27 |
| 3.941 | 32 |
| 3.678 | 26 |
| 3.657 | 51 |
| 3.629 | 31 |
| 3.499 | 26 |

Structure:
```
K2UH6C4SeO15
1.0
7.335 0.000 0.000
0.624 9.010 0.000
0.183 1.140 12.574
K U H C Se O
4 2 12 8 2 30
direct
0.178 0.495 0.257
0.208 0.990 0.160
0.792 0.010 0.840
0.822 0.505 0.743
0.300 0.254 0.776
0.700 0.746 0.224
0.110 0.836 0.605
0.154 0.707 0.510
0.180 0.889 0.475
0.183 0.738 0.961
0.312 0.083 0.404
0.422 0.927 0.398
0.578 0.073 0.602
0.688 0.917 0.596
0.817 0.262 0.039
0.820 0.111 0.525
0.846 0.293 0.490
0.890 0.164 0.395
0.239 0.467 0.972
0.251 0.457 0.546
0.284 0.309 0.028
0.320 0.302 0.513
0.680 0.698 0.487
0.716 0.691 0.972
0.749 0.543 0.454
0.761 0.533 0.028
0.277 0.833 0.795
0.723 0.167 0.205
0.055 0.228 0.772
0.090 0.864 0.717
0.106 0.817 0.524
0.169 0.843 0.924
0.211 0.575 0.027
0.218 0.562 0.474
0.231 0.467 0.646
0.233 0.472 0.870
0.297 0.288 0.126
0.298 0.976 0.393
0.302 0.206 0.963
0.330 0.278 0.417
0.360 0.206 0.592
0.373 0.003 0.788
0.456 0.715 0.221
0.544 0.285 0.779
0.627 0.997 0.212
0.640 0.794 0.408
0.670 0.722 0.583
0.698 0.794 0.037
0.702 0.024 0.607
0.703 0.712 0.874
0.767 0.528 0.130
0.769 0.533 0.354
0.782 0.438 0.526
0.789 0.425 0.973
0.831 0.157 0.076
0.894 0.183 0.476
0.910 0.136 0.283
0.945 0.772 0.228
```